This entry pairs a crystal structure of Hg2Br with its simulated powder diffraction line list. Radiation: Cu Ka. Structure: a crystal structure in Alexandria, relaxed with PBE.
Peak positions follow from Bragg's law for the DFT cell and can differ from measured ones.

Atomic structure:
```
Hg2Br
1.0
5.654 0.000 0.000
1.560 6.279 0.000
2.677 2.159 5.648
Hg Br
4 2
direct
0.186 0.274 0.090
0.283 0.888 0.618
0.717 0.112 0.382
0.814 0.726 0.910
0.338 0.648 0.237
0.662 0.352 0.763
```

Main lines, in order of rising 2θ (2θ from 10° to 90°):
17.48°, 5.073 Å, I 100; 27.60°, 3.232 Å, I 68; 28.48°, 3.134 Å, I 100; 28.86°, 3.093 Å, I 59; 30.42°, 2.939 Å, I 47; 38.68°, 2.328 Å, I 34